Record 1
Computed PXRD pattern
Compound: TaNiIr
Radiation: Cu Kα (λ = 1.5418 Å)
Structure: a structure optimized by DFT (PBE)

Atomic structure:
abc: 4.791 9.139 4.642
angles: 90.00 120.16 90.00
Space group Cc (No. 9)
Asymmetric unit:
Ta  0.000  0.127  0.000 x4
Ni  0.180  0.361  0.830 x4
Ir  0.351  0.112  0.668 x4

Top 8 peaks for 2θ = 10–90°, in order of falling intensity:
42.62°, intensity 100, hkl 2 2 -1
40.09°, intensity 63, hkl 1 1 -2
39.57°, intensity 61, hkl 1 1 1
39.44°, intensity 60, hkl 0 4 0
48.93°, intensity 37, hkl 1 3 1
73.76°, intensity 37, hkl 0 2 3
49.37°, intensity 29, hkl 1 3 -2
29.62°, intensity 21, hkl 0 2 1

Record 2
Computed PXRD pattern
Compound: Ca5P3O12
Radiation: Cu Kα (λ = 1.5418 Å)
Structure: a structure optimized by DFT (PBE)

Atomic structure:
abc: 9.6589 9.6589 6.8083
angles: 90.00 90.00 120.00
Space group P6_3/m (No. 176)
Asymmetric unit:
Ca  0.0076  0.7523  0.2500 x6
Ca  0.3333  0.6667  0.5027 x4
P  0.0303  0.4030  0.2500 x6
O  0.0841  0.3458  0.0668 x12
O  0.1266  0.5901  0.2500 x6
O  0.1517  0.6602  0.7500 x6

Top 8 peaks for 2θ = 10–90°, in order of falling intensity:
32.14°, intensity 100, hkl 3 0 0
31.19°, intensity 96, hkl 2 1 1
10.58°, intensity 49, hkl 1 0 0
49.40°, intensity 48, hkl 2 1 3
46.09°, intensity 33, hkl 2 2 2
28.23°, intensity 26, hkl 2 1 0
26.18°, intensity 25, hkl 0 0 2
38.84°, intensity 21, hkl 1 3 0

Record 3
Computed PXRD pattern
Compound: La3DyFe
Radiation: Cu Kα (λ = 1.5418 Å)
Structure: a structure optimized by DFT (PBE)

Atomic structure:
abc: 5.428 5.428 5.428
angles: 90.00 90.00 90.00
Space group Pm-3m (No. 221)
Asymmetric unit:
La  0.000  0.000  0.500 x3
Dy  0.500  0.500  0.500 x1
Fe  0.000  0.000  0.000 x1

Top 8 peaks for 2θ = 10–90°, in order of falling intensity:
28.48°, intensity 100, hkl 1 1 1
33.01°, intensity 78, hkl 2 0 0
47.37°, intensity 56, hkl 2 2 0
56.21°, intensity 45, hkl 3 1 1
78.87°, intensity 25, hkl 4 2 0
58.95°, intensity 19, hkl 2 2 2
88.18°, intensity 19, hkl 4 2 2
76.50°, intensity 18, hkl 3 3 1

Record 4
Computed PXRD pattern
Compound: PmTl5
Radiation: Cu Kα (λ = 1.5418 Å)
Structure: a structure optimized by DFT (PBE)

Atomic structure:
abc: 5.469 16.314 3.973
angles: 90.00 90.00 90.00
Space group Cmmm (No. 65)
Asymmetric unit:
Pm  0.000  0.000  0.000 x2
Tl  0.000  0.168  0.500 x4
Tl  0.000  0.333  0.000 x4
Tl  0.000  0.500  0.500 x2

Top 8 peaks for 2θ = 10–90°, in order of falling intensity:
32.35°, intensity 100, hkl 1 3 1
32.75°, intensity 24, hkl 2 0 0
32.94°, intensity 24, hkl 0 6 0
58.21°, intensity 19, hkl 3 3 1
58.45°, intensity 19, hkl 1 9 1
47.14°, intensity 18, hkl 2 6 0
67.72°, intensity 12, hkl 2 6 2
57.33°, intensity 10, hkl 2 0 2

Record 5
Computed PXRD pattern
Compound: KCr2InCl8
Radiation: Cu Kα (λ = 1.5418 Å)
Structure: a structure optimized by DFT (PBE)

Atomic structure:
abc: 6.248 7.141 7.332
angles: 89.71 89.67 87.71
Space group P-1 (No. 2)
Asymmetric unit:
K  0.000  0.000  0.000 x1
Cr  0.500  0.500  0.250 x2
In  0.000  0.000  0.500 x1
Cl  0.282  0.395  0.502 x2
Cl  0.283  0.395  0.002 x2
Cl  0.312  0.787  0.251 x2
Cl  0.312  0.787  0.748 x2

Top 8 peaks for 2θ = 10–90°, in order of falling intensity:
18.51°, intensity 100, hkl 1 1 0
28.31°, intensity 57, hkl 1 0 -2
19.26°, intensity 47, hkl 1 -1 0
39.46°, intensity 37, hkl 2 1 2
39.75°, intensity 35, hkl 2 1 -2
41.15°, intensity 30, hkl 1 -3 0
28.16°, intensity 28, hkl 1 0 2
31.16°, intensity 25, hkl 1 -1 2